No. 1
Diffraction record for InPt2Au6. The powder XRD pattern is simulated, not measured: it uses a crystal structure in Alexandria, relaxed with PBE and Cu Kα.
Kinematic intensities with the Lorentz-polarization factor, no thermal factor.

Structural model:
```
18
Lattice="5.194 -5.064 0.000 5.194 5.064 0.000 -4.499 0.000 6.178" Properties=species:S:1:pos:R:3 pbc="T T T"
In 1.820 3.513 4.634
In 4.069 -3.513 1.545
Pt 0.771 1.195 3.549
Pt 3.020 -1.195 0.460
Pt 2.869 1.195 5.718
Pt 5.119 -1.195 2.629
Au 2.691 3.948 1.901
Au 1.742 1.357 0.865
Au 5.448 3.948 1.188
Au 4.529 1.242 0.144
Au -0.507 -1.357 3.954
Au 3.610 1.242 2.945
Au 2.279 -1.242 3.233
Au 6.396 1.357 2.224
Au 1.361 -1.242 6.034
Au 0.441 -3.948 4.990
Au 4.147 -1.357 5.314
Au 3.199 -3.948 4.277
```

Largest 12 diffraction maxima, in order of falling intensity, 2θ from 10° to 90°:
| Position (°2θ) | I/Imax |
| --- | --- |
| 40.5 | 1000 |
| 35.5 | 683 |
| 37.5 | 648 |
| 36.9 | 646 |
| 45.0 | 388 |
| 45.5 | 330 |
| 67.8 | 223 |
| 67.1 | 193 |
| 59.0 | 170 |
| 75.9 | 167 |
| 58.6 | 136 |
| 65.2 | 126 |

---

No. 2
Diffraction record for Tb8Tm2Pb. The powder XRD pattern is simulated, not measured: it uses a crystal structure in Alexandria, relaxed with PBE and Cu Kα.
Kinematic intensities with the Lorentz-polarization factor, no thermal factor.

Structural model:
```
11
Lattice="9.715 -2.782 0.000 9.715 2.782 0.000 -0.567 0.000 6.416" Properties=species:S:1:pos:R:3 pbc="T T T"
Tb 0.720 0.000 1.722
Tb 2.566 0.000 5.131
Tb 6.030 0.000 5.632
Tb 7.942 0.000 2.584
Tb 10.922 0.000 3.832
Tb 12.833 0.000 0.784
Tb 16.297 0.000 1.285
Tb 18.144 0.000 4.694
Tm 4.532 0.000 2.176
Tm 14.332 0.000 4.240
Pb 9.715 0.000 0.000
```

Largest 12 diffraction maxima, in order of falling intensity, 2θ from 10° to 90°:
| Position (°2θ) | I/Imax |
| --- | --- |
| 32.2 | 1000 |
| 32.3 | 662 |
| 57.4 | 280 |
| 29.9 | 272 |
| 44.5 | 188 |
| 59.0 | 122 |
| 30.5 | 111 |
| 48.0 | 110 |
| 37.9 | 96 |
| 54.7 | 78 |
| 59.8 | 77 |
| 67.7 | 62 |

---

No. 3
Diffraction record for NaPuIn2Br6. The powder XRD pattern is simulated, not measured: it uses a crystal structure in Alexandria, relaxed with PBE and Cu Kα.
Kinematic intensities with the Lorentz-polarization factor, no thermal factor.

Structural model:
```
10
Lattice="3.981 2.299 6.741 -3.981 2.299 6.741 0.000 -4.597 6.741" Properties=species:S:1:pos:R:3 pbc="T T T"
Na 0.000 0.000 0.000
Pu 0.000 0.000 10.004
In 0.000 0.000 5.784
In 0.000 0.000 15.989
Br -2.228 0.366 8.183
Br -1.646 -1.771 11.552
Br 0.797 -2.112 8.183
Br -0.711 2.311 11.552
Br 1.431 1.746 8.183
Br 2.357 -0.540 11.552
```

Largest 12 diffraction maxima, in order of falling intensity, 2θ from 10° to 90°:
| Position (°2θ) | I/Imax |
| --- | --- |
| 26.0 | 1000 |
| 34.9 | 891 |
| 31.4 | 873 |
| 13.6 | 717 |
| 39.2 | 542 |
| 15.6 | 538 |
| 21.8 | 502 |
| 38.9 | 396 |
| 22.3 | 361 |
| 34.7 | 240 |
| 61.4 | 228 |
| 13.1 | 226 |

---

No. 4
Diffraction record for TaV2SnOs. The powder XRD pattern is simulated, not measured: it uses a crystal structure in Alexandria, relaxed with PBE and Cu Kα.
Kinematic intensities with the Lorentz-polarization factor, no thermal factor.

Structural model:
```
5
Lattice="4.614 0.000 0.000 0.000 4.614 0.000 0.000 0.000 4.817" Properties=species:S:1:pos:R:3 pbc="T T T"
Ta 0.000 0.000 0.000
V 0.000 2.307 0.000
V 2.307 0.000 0.000
Sn 2.307 2.307 2.409
Os 0.000 0.000 2.409
```

Largest 12 diffraction maxima, in order of falling intensity, 2θ from 10° to 90°:
| Position (°2θ) | I/Imax |
| --- | --- |
| 27.3 | 1000 |
| 19.2 | 939 |
| 39.0 | 919 |
| 55.1 | 673 |
| 37.3 | 520 |
| 46.9 | 488 |
| 33.2 | 443 |
| 69.6 | 334 |
| 56.4 | 314 |
| 42.3 | 251 |
| 76.3 | 249 |
| 43.9 | 227 |